Theoretical X-ray powder pattern of YN for a wavelength of 1.5418 Å, from a PBE-relaxed structure.
Kinematic intensities with the Lorentz-polarization factor, no thermal factor.

Largest 6 diffraction maxima, in order of rising 2θ, 2θ from 10° to 80°:
| d [Å] | two_theta | intensity | index |
| --- | --- | --- | --- |
| 2.840 | 31.50 | 100 | 1 1 1 |
| 2.460 | 36.53 | 92 | 2 0 0 |
| 1.739 | 52.63 | 60 | 2 2 0 |
| 1.483 | 62.64 | 43 | 3 1 1 |
| 1.420 | 65.76 | 20 | 2 2 2 |
| 1.230 | 77.64 | 9 | 4 0 0 |

Structural model:
a b c (Å): 4.919 4.919 4.919
angles (deg): 90.00 90.00 90.00
Space group Fm-3m (No. 225)
Asymmetric unit:
Y 0.000 0.000 0.000 x4
N 0.000 0.000 0.500 x4